# Pr3HgCl3
Computed X-ray diffraction stick pattern, copper Kα. Input: a crystal structure in Alexandria, relaxed with GGA-PBE.

Structural model:
Cell: 3.9118 8.5920 12.6138 Å, 88.57 81.08 76.85°
Element x y z (fractional)
Pr (0.0935, 0.2844, 0.0293)
Pr (0.1118, 0.6160, 0.6599)
Pr (0.2896, 0.1863, 0.7339)
Pr (0.7104, 0.8137, 0.2661)
Pr (0.8882, 0.3840, 0.3401)
Pr (0.9065, 0.7156, 0.9707)
Hg (0.3950, 0.5464, 0.1641)
Hg (0.6050, 0.4536, 0.8359)
Cl (0.0540, 0.0436, 0.3493)
Cl (0.3215, 0.9584, 0.8983)
Cl (0.3259, 0.3274, 0.5210)
Cl (0.6741, 0.6726, 0.4790)
Cl (0.6785, 0.0416, 0.1017)
Cl (0.9460, 0.9564, 0.6507)

Principal peaks in the range 2θ = 10–90°, in order of falling intensity:
(1 -2 1), 2θ = 35.44°, intensity 100.0; (0 1 0), 2θ = 10.57°, intensity 79.3; (1 0 -3), 2θ = 34.51°, intensity 75.3; (1 1 3), 2θ = 29.52°, intensity 70.0; (1 2 0), 2θ = 28.08°, intensity 64.9; (0 2 2), 2θ = 25.77°, intensity 41.2